(1)
Computed XRD peak list of Na4NO for Cu Kα, 1.54184 Å, from a structure optimized by DFT (GGA-PBE).
Peak positions follow from Bragg's law for the DFT cell and can differ from measured ones.

Largest 10 diffraction maxima, low angle first, 2θ from 10° to 90°:
d [Å]	2θ (°)	I/Imax
3.315	26.9	27
2.937	30.4	21
2.839	31.5	39
2.041	44.4	100
2.007	45.2	48
1.657	55.4	16
1.469	63.3	7
1.419	65.8	13
1.185	81.1	11
1.165	82.8	23

abc: 4.015 4.015 5.875
angles: 90.00 90.00 90.00
Fractional coordinates of all 6 atoms:
Na (0.000, 0.500, 0.238)
Na (0.000, 0.500, 0.762)
Na (0.500, 0.000, 0.238)
Na (0.500, 0.000, 0.762)
N (0.000, 0.000, 0.500)
O (0.500, 0.500, 0.000)

(2)
Computed XRD peak list of Na8N3O for Cu Kα, 1.54184 Å, from a structure optimized by DFT (GGA-PBE).
Peak positions follow from Bragg's law for the DFT cell and can differ from measured ones.

Largest 10 diffraction maxima, low angle first, 2θ from 10° to 90°:
d [Å]	2θ (°)	I/Imax
5.788	15.3	1
3.342	26.7	17
2.894	30.9	43
2.046	44.3	100
1.745	52.4	5
1.671	55.0	11
1.447	64.4	13
1.328	71.0	1
1.294	73.1	13
1.182	81.5	23

abc: 5.788 5.788 5.788
angles: 90.00 90.00 90.00
Fractional coordinates of all 12 atoms:
Na (0.244, 0.244, 0.244)
Na (0.244, 0.244, 0.756)
Na (0.244, 0.756, 0.244)
Na (0.244, 0.756, 0.756)
Na (0.756, 0.244, 0.244)
Na (0.756, 0.244, 0.756)
Na (0.756, 0.756, 0.244)
Na (0.756, 0.756, 0.756)
N (0.000, 0.500, 0.500)
N (0.500, 0.000, 0.500)
N (0.500, 0.500, 0.000)
O (0.000, 0.000, 0.000)

(3)
Computed XRD peak list of NaPNO3 for Cu Kα, 1.54184 Å, from a structure optimized by DFT (GGA-PBE).
Peak positions follow from Bragg's law for the DFT cell and can differ from measured ones.

Largest 10 diffraction maxima, low angle first, 2θ from 10° to 90°:
d [Å]	2θ (°)	I/Imax
3.929	22.6	100
3.186	28.0	9
2.881	31.0	33
2.685	33.4	18
2.323	38.8	10
2.137	42.3	6
1.964	46.2	19
1.954	46.5	13
1.809	50.5	9
1.441	64.7	10

abc: 5.762 5.762 6.372
angles: 90.00 90.00 120.00
Fractional coordinates of all 12 atoms:
Na (0.000, 0.000, 0.000)
Na (0.000, 0.000, 0.500)
P (0.333, 0.667, 0.183)
P (0.667, 0.333, 0.683)
N (0.333, 0.667, 0.912)
N (0.667, 0.333, 0.412)
O (0.160, 0.373, 0.249)
O (0.213, 0.840, 0.249)
O (0.373, 0.213, 0.749)
O (0.627, 0.787, 0.249)
O (0.787, 0.160, 0.749)
O (0.840, 0.627, 0.749)

(4)
Computed XRD peak list of Na6OsN4 for Cu Kα, 1.54184 Å, from a structure optimized by DFT (GGA-PBE).
Peak positions follow from Bragg's law for the DFT cell and can differ from measured ones.

Largest 10 diffraction maxima, low angle first, 2θ from 10° to 90°:
d [Å]	2θ (°)	I/Imax
5.427	16.3	54
4.760	18.6	100
3.837	23.2	22
2.987	29.9	79
2.713	33.0	26
2.648	33.9	36
2.357	38.2	34
2.023	44.8	19
1.895	48.0	25
1.743	52.5	20

abc: 7.675 7.675 6.068
angles: 90.00 90.00 90.00
Fractional coordinates of all 22 atoms:
Na (0.042, 0.542, 0.250)
Na (0.042, 0.958, 0.250)
Na (0.250, 0.250, 0.048)
Na (0.250, 0.250, 0.548)
Na (0.458, 0.542, 0.250)
Na (0.458, 0.958, 0.250)
Na (0.542, 0.042, 0.750)
Na (0.542, 0.458, 0.750)
Na (0.750, 0.750, 0.452)
Na (0.750, 0.750, 0.952)
Na (0.958, 0.042, 0.750)
Na (0.958, 0.458, 0.750)
Os (0.250, 0.750, 0.750)
Os (0.750, 0.250, 0.250)
N (0.046, 0.750, 0.584)
N (0.250, 0.546, 0.916)
N (0.250, 0.954, 0.916)
N (0.454, 0.750, 0.584)
N (0.546, 0.250, 0.416)
N (0.750, 0.046, 0.084)
N (0.750, 0.454, 0.084)
N (0.954, 0.250, 0.416)

(5)
Computed XRD peak list of Na6ReN4 for Cu Kα, 1.54184 Å, from a structure optimized by DFT (GGA-PBE).
Peak positions follow from Bragg's law for the DFT cell and can differ from measured ones.

Largest 10 diffraction maxima, low angle first, 2θ from 10° to 90°:
d [Å]	2θ (°)	I/Imax
5.417	16.4	55
4.715	18.8	100
3.830	23.2	23
2.973	30.1	82
2.708	33.1	27
2.619	34.2	36
2.349	38.3	36
2.008	45.2	20
1.883	48.3	24
1.724	53.1	20

abc: 7.661 7.661 5.983
angles: 90.00 90.00 90.00
Fractional coordinates of all 22 atoms:
Na (0.043, 0.543, 0.250)
Na (0.043, 0.957, 0.250)
Na (0.250, 0.250, 0.056)
Na (0.250, 0.250, 0.556)
Na (0.457, 0.543, 0.250)
Na (0.457, 0.957, 0.250)
Na (0.543, 0.043, 0.750)
Na (0.543, 0.457, 0.750)
Na (0.750, 0.750, 0.444)
Na (0.750, 0.750, 0.944)
Na (0.957, 0.043, 0.750)
Na (0.957, 0.457, 0.750)
Re (0.250, 0.750, 0.750)
Re (0.750, 0.250, 0.250)
N (0.046, 0.750, 0.579)
N (0.250, 0.546, 0.921)
N (0.250, 0.954, 0.921)
N (0.454, 0.750, 0.579)
N (0.546, 0.250, 0.421)
N (0.750, 0.046, 0.079)
N (0.750, 0.454, 0.079)
N (0.954, 0.250, 0.421)

(6)
Computed XRD peak list of Na3Re2N5 for Cu Kα, 1.54184 Å, from a structure optimized by DFT (GGA-PBE).
Peak positions follow from Bragg's law for the DFT cell and can differ from measured ones.

Largest 10 diffraction maxima, low angle first, 2θ from 10° to 90°:
d [Å]	2θ (°)	I/Imax
7.139	12.4	38
4.724	18.8	100
3.896	22.8	11
3.241	27.5	11
2.933	30.5	71
2.818	31.8	35
2.570	34.9	17
2.420	37.2	25
1.992	45.5	11
1.648	55.8	19

abc: 9.907 9.907 9.907
angles: 101.02 101.02 128.15
Fractional coordinates of all 40 atoms:
Na (0.000, 0.000, 0.000)
Na (0.050, 0.925, 0.680)
Na (0.120, 0.300, 0.625)
Na (0.174, 0.674, 0.500)
Na (0.245, 0.370, 0.320)
Na (0.424, 0.424, 0.000)
Na (0.434, 0.815, 0.236)
Na (0.565, 0.829, 0.881)
Na (0.579, 0.198, 0.764)
Na (0.675, 0.495, 0.375)
Na (0.750, 0.250, 0.500)
Na (0.948, 0.684, 0.119)
Re (0.307, 0.089, 0.441)
Re (0.360, 0.067, 0.118)
Re (0.616, 0.557, 0.719)
Re (0.647, 0.866, 0.559)
Re (0.817, 0.200, 0.207)
Re (0.839, 0.897, 0.281)
Re (0.950, 0.242, 0.882)
Re (0.992, 0.610, 0.793)
N (0.013, 0.443, 0.818)
N (0.086, 0.192, 0.850)
N (0.095, 0.057, 0.341)
N (0.193, 0.875, 0.929)
N (0.269, 0.976, 0.566)
N (0.304, 0.965, 0.262)
N (0.342, 0.236, 0.150)
N (0.410, 0.703, 0.434)
N (0.453, 0.519, 0.793)
N (0.504, 0.345, 0.538)
N (0.625, 0.195, 0.182)
N (0.702, 0.042, 0.738)
N (0.715, 0.952, 0.161)
N (0.716, 0.754, 0.659)
N (0.726, 0.660, 0.207)
N (0.792, 0.554, 0.839)
N (0.807, 0.966, 0.462)
N (0.942, 0.592, 0.606)
N (0.945, 0.263, 0.071)
N (0.986, 0.336, 0.394)

Copy entry 1 word for word.
Computed XRD peak list of Na4NO for Cu Kα, 1.54184 Å, from a structure optimized by DFT (GGA-PBE).
Peak positions follow from Bragg's law for the DFT cell and can differ from measured ones.

Largest 10 diffraction maxima, low angle first, 2θ from 10° to 90°:
d [Å]	2θ (°)	I/Imax
3.315	26.9	27
2.937	30.4	21
2.839	31.5	39
2.041	44.4	100
2.007	45.2	48
1.657	55.4	16
1.469	63.3	7
1.419	65.8	13
1.185	81.1	11
1.165	82.8	23

abc: 4.015 4.015 5.875
angles: 90.00 90.00 90.00
Fractional coordinates of all 6 atoms:
Na (0.000, 0.500, 0.238)
Na (0.000, 0.500, 0.762)
Na (0.500, 0.000, 0.238)
Na (0.500, 0.000, 0.762)
N (0.000, 0.000, 0.500)
O (0.500, 0.500, 0.000)

Please write out number 6 again, unchanged.
Computed XRD peak list of Na3Re2N5 for Cu Kα, 1.54184 Å, from a structure optimized by DFT (GGA-PBE).
Peak positions follow from Bragg's law for the DFT cell and can differ from measured ones.

Largest 10 diffraction maxima, low angle first, 2θ from 10° to 90°:
d [Å]	2θ (°)	I/Imax
7.139	12.4	38
4.724	18.8	100
3.896	22.8	11
3.241	27.5	11
2.933	30.5	71
2.818	31.8	35
2.570	34.9	17
2.420	37.2	25
1.992	45.5	11
1.648	55.8	19

abc: 9.907 9.907 9.907
angles: 101.02 101.02 128.15
Fractional coordinates of all 40 atoms:
Na (0.000, 0.000, 0.000)
Na (0.050, 0.925, 0.680)
Na (0.120, 0.300, 0.625)
Na (0.174, 0.674, 0.500)
Na (0.245, 0.370, 0.320)
Na (0.424, 0.424, 0.000)
Na (0.434, 0.815, 0.236)
Na (0.565, 0.829, 0.881)
Na (0.579, 0.198, 0.764)
Na (0.675, 0.495, 0.375)
Na (0.750, 0.250, 0.500)
Na (0.948, 0.684, 0.119)
Re (0.307, 0.089, 0.441)
Re (0.360, 0.067, 0.118)
Re (0.616, 0.557, 0.719)
Re (0.647, 0.866, 0.559)
Re (0.817, 0.200, 0.207)
Re (0.839, 0.897, 0.281)
Re (0.950, 0.242, 0.882)
Re (0.992, 0.610, 0.793)
N (0.013, 0.443, 0.818)
N (0.086, 0.192, 0.850)
N (0.095, 0.057, 0.341)
N (0.193, 0.875, 0.929)
N (0.269, 0.976, 0.566)
N (0.304, 0.965, 0.262)
N (0.342, 0.236, 0.150)
N (0.410, 0.703, 0.434)
N (0.453, 0.519, 0.793)
N (0.504, 0.345, 0.538)
N (0.625, 0.195, 0.182)
N (0.702, 0.042, 0.738)
N (0.715, 0.952, 0.161)
N (0.716, 0.754, 0.659)
N (0.726, 0.660, 0.207)
N (0.792, 0.554, 0.839)
N (0.807, 0.966, 0.462)
N (0.942, 0.592, 0.606)
N (0.945, 0.263, 0.071)
N (0.986, 0.336, 0.394)